# ErAlSi
Calculated X-ray powder pattern, CuKα. Input: DFT lattice parameters and positions (GGA-PBE).
Lines closer than 0.1° are merged.

Peak list (10 most intense, 15° ≤ 2θ ≤ 90°, in order of falling intensity)
- 2θ 28.7, I = 100, hkl 1 1 1
- 2θ 34.6, I = 55, hkl 1 3 0
- 2θ 38.7, I = 39, hkl 0 4 1
- 2θ 17.4, I = 33, hkl 0 2 0
- 2θ 61.1, I = 31, hkl 2 4 1
- 2θ 36.4, I = 29, hkl 0 2 2
- 2θ 31.7, I = 29, hkl 0 0 2
- 2θ 23.5, I = 28, hkl 0 2 1
- 2θ 38.2, I = 27, hkl 1 3 1
- 2θ 40.1, I = 25, hkl 1 1 2

Crystal structure
```
data_ErAlSi
_space_group_name_H-M_alt 'P 1'
_space_group_IT_number 1
_space_group_name_Hall 'P 1'
_cell_length_a 4.0021
_cell_length_b 10.2184
_cell_length_c 5.6469
_cell_angle_alpha 90.00
_cell_angle_beta 90.00
_cell_angle_gamma 90.00
loop_
_atom_site_label
_atom_site_type_symbol
_atom_site_fract_x
_atom_site_fract_y
_atom_site_fract_z
Er1 Er 0.0000 0.1926 0.2500
Er2 Er 0.0000 0.8074 0.7500
Er3 Er 0.5000 0.3074 0.7500
Er4 Er 0.5000 0.6926 0.2500
Al1 Al 0.0000 0.5000 0.0000
Al2 Al 0.0000 0.5000 0.5000
Al3 Al 0.5000 0.0000 0.0000
Al4 Al 0.5000 0.0000 0.5000
Si1 Si 0.0000 0.1026 0.7500
Si2 Si 0.0000 0.8974 0.2500
Si3 Si 0.5000 0.3974 0.2500
Si4 Si 0.5000 0.6026 0.7500
```